(1)
# EuBi2Se4
Calculated powder diffractogram, CuKα. Input: a crystal structure in the Materials Project, relaxed with PBE.
Neutral-atom scattering factors, no anomalous dispersion.

Largest 12 diffraction maxima, sorted by position, 2θ = 10–90°:
h k l, Position (°2θ), I/Imax
0 0 4, 23.0, 53
3 0 2, 24.3, 100
1 1 2, 25.0, 77
2 1 0, 25.3, 49
1 1 3, 28.1, 58
4 0 2, 30.8, 45
1 1 4, 32.1, 34
2 1 4, 34.5, 78
4 1 0, 35.6, 68
2 0 6, 37.8, 44
0 2 0, 42.5, 56
2 1 6, 43.6, 59

Atomic structure:
```
data_EuBi2Se4
_cell_length_a 12.513
_cell_length_b 4.250
_cell_length_c 15.451
_cell_angle_alpha 90.00
_cell_angle_beta 90.00
_cell_angle_gamma 90.00
_space_group_name_H-M_alt 'P n m a'
_space_group_IT_number 62
_space_group_name_Hall '-P 2ac 2n'
loop_
_atom_site_label
_atom_site_type_symbol
_atom_site_fract_x
_atom_site_fract_y
_atom_site_fract_z
_atom_site_occupancy
Eu1 Eu 0.246 0.250 0.162 1
Bi1 Bi 0.071 0.250 0.900 1
Bi2 Bi 0.079 0.250 0.390 1
Se1 Se 0.006 0.750 0.788 1
Se2 Se 0.083 0.250 0.585 1
Se3 Se 0.147 0.750 0.029 1
Se4 Se 0.219 0.750 0.314 1
```

(2)
# HoMn6Al6
Calculated powder diffractogram, CuKα. Input: a crystal structure in the Materials Project, relaxed with PBE.
Neutral-atom scattering factors, no anomalous dispersion.

Largest 12 diffraction maxima, sorted by position, 2θ = 10–90°:
h k l, Position (°2θ), I/Imax
0 1 1, 14.4, 58
1 1 0, 20.8, 23
0 2 2, 29.0, 55
1 2 1, 29.3, 54
1 3 0, 36.2, 23
0 0 4, 40.9, 37
1 2 3, 41.5, 62
1 3 2, 41.8, 37
0 4 0, 42.0, 100
2 2 0, 42.2, 32
2 2 2, 47.2, 22
2 4 2, 60.9, 24

Atomic structure:
```
data_HoMn6Al6
_cell_length_a 4.934
_cell_length_b 8.607
_cell_length_c 8.817
_cell_angle_alpha 90.00
_cell_angle_beta 90.00
_cell_angle_gamma 90.00
_space_group_name_H-M_alt 'I m m m'
_space_group_IT_number 71
_space_group_name_Hall '-I 2 2'
loop_
_atom_site_label
_atom_site_type_symbol
_atom_site_fract_x
_atom_site_fract_y
_atom_site_fract_z
_atom_site_occupancy
Ho1 Ho 0.000 0.000 0.000 1
Mn1 Mn 0.000 0.264 0.500 1
Mn2 Mn 0.250 0.250 0.250 1
Al1 Al 0.000 0.000 0.346 1
Al2 Al 0.000 0.339 0.000 1
Al3 Al 0.000 0.500 0.303 1
```

(3)
# Sm3Sn13Rh4
Calculated powder diffractogram, CuKα. Input: a crystal structure in the Materials Project, relaxed with PBE.
Neutral-atom scattering factors, no anomalous dispersion.

Largest 12 diffraction maxima, sorted by position, 2θ = 10–90°:
h k l, Position (°2θ), I/Imax
3 2 0, 33.0, 100
3 2 1, 34.2, 38
4 0 0, 36.7, 21
4 1 0, 37.9, 14
4 2 0, 41.2, 9
4 2 2, 45.3, 21
4 3 3, 54.6, 14
5 3 2, 58.0, 16
6 2 2, 62.9, 14
6 3 2, 66.8, 11
6 4 1, 69.9, 8
6 5 4, 87.3, 10

Atomic structure:
```
data_Sm3Sn13Rh4
_cell_length_a 9.799
_cell_length_b 9.799
_cell_length_c 9.799
_cell_angle_alpha 90.00
_cell_angle_beta 90.00
_cell_angle_gamma 90.00
_space_group_name_H-M_alt 'P m -3 n'
_space_group_IT_number 223
_space_group_name_Hall '-P 4n 2 3'
loop_
_atom_site_label
_atom_site_type_symbol
_atom_site_fract_x
_atom_site_fract_y
_atom_site_fract_z
_atom_site_occupancy
Sm1 Sm 0.000 0.250 0.500 1
Sn1 Sn 0.000 0.000 0.000 1
Sn2 Sn 0.000 0.308 0.153 1
Rh1 Rh 0.250 0.250 0.250 1
```

(4)
# GaMo4S8
Calculated powder diffractogram, CuKα. Input: a crystal structure in the Materials Project, relaxed with PBE.
Neutral-atom scattering factors, no anomalous dispersion.

Largest 12 diffraction maxima, sorted by position, 2θ = 10–90°:
h k l, Position (°2θ), I/Imax
1 1 1, 15.6, 89
2 0 0, 18.0, 41
2 2 0, 25.6, 19
3 1 1, 30.1, 100
4 0 0, 36.6, 88
3 3 1, 40.0, 42
4 2 2, 45.2, 44
5 1 1, 48.1, 82
4 4 0, 52.7, 79
6 4 2, 71.9, 20
5 5 3, 74.1, 23
8 2 2, 83.4, 29

Atomic structure:
```
data_GaMo4S8
_cell_length_a 9.832
_cell_length_b 9.832
_cell_length_c 9.832
_cell_angle_alpha 90.00
_cell_angle_beta 90.00
_cell_angle_gamma 90.00
_space_group_name_H-M_alt 'F -4 3 m'
_space_group_IT_number 216
_space_group_name_Hall 'F -4 2 3'
loop_
_atom_site_label
_atom_site_type_symbol
_atom_site_fract_x
_atom_site_fract_y
_atom_site_fract_z
_atom_site_occupancy
Ga1 Ga 0.000 0.000 0.000 1
Mo1 Mo 0.104 0.104 0.604 1
S1 S 0.134 0.134 0.366 1
S2 S 0.135 0.135 0.865 1
```

(5)
# Na3N
Calculated powder diffractogram, CuKα. Input: a crystal structure in the Materials Project, relaxed with PBE.
Neutral-atom scattering factors, no anomalous dispersion.

Largest 12 diffraction maxima, sorted by position, 2θ = 10–90°:
h k l, Position (°2θ), I/Imax
1 1 2, 32.6, 61
2 0 2, 35.4, 19
2 1 1, 37.4, 30
3 0 0, 40.4, 100
1 1 3, 41.9, 78
1 0 4, 48.6, 8
3 1 1, 50.6, 10
2 2 2, 52.9, 12
2 2 3, 59.6, 14
3 2 2, 65.3, 8
3 1 4, 70.0, 9
3 0 6, 86.7, 9

Atomic structure:
```
data_Na3N
_cell_length_a 7.7259
_cell_length_b 7.7259
_cell_length_c 7.7976
_cell_angle_alpha 90.00
_cell_angle_beta 90.00
_cell_angle_gamma 120.00
_space_group_name_H-M_alt 'P 63 c m'
_space_group_IT_number 185
_space_group_name_Hall 'P 6c -2'
loop_
_atom_site_label
_atom_site_type_symbol
_atom_site_fract_x
_atom_site_fract_y
_atom_site_fract_z
_atom_site_occupancy
Na1 Na 0.0000 0.0000 0.0000 1
Na2 Na 0.0000 0.2843 0.2175 1
Na3 Na 0.0000 0.3803 0.8598 1
Na4 Na 0.3333 0.6667 0.0613 1
N1 N 0.0000 0.3276 0.5405 1
```

Please write out number 2 again, unchanged.
# HoMn6Al6
Calculated powder diffractogram, CuKα. Input: a crystal structure in the Materials Project, relaxed with PBE.
Neutral-atom scattering factors, no anomalous dispersion.

Largest 12 diffraction maxima, sorted by position, 2θ = 10–90°:
h k l, Position (°2θ), I/Imax
0 1 1, 14.4, 58
1 1 0, 20.8, 23
0 2 2, 29.0, 55
1 2 1, 29.3, 54
1 3 0, 36.2, 23
0 0 4, 40.9, 37
1 2 3, 41.5, 62
1 3 2, 41.8, 37
0 4 0, 42.0, 100
2 2 0, 42.2, 32
2 2 2, 47.2, 22
2 4 2, 60.9, 24

Atomic structure:
```
data_HoMn6Al6
_cell_length_a 4.934
_cell_length_b 8.607
_cell_length_c 8.817
_cell_angle_alpha 90.00
_cell_angle_beta 90.00
_cell_angle_gamma 90.00
_space_group_name_H-M_alt 'I m m m'
_space_group_IT_number 71
_space_group_name_Hall '-I 2 2'
loop_
_atom_site_label
_atom_site_type_symbol
_atom_site_fract_x
_atom_site_fract_y
_atom_site_fract_z
_atom_site_occupancy
Ho1 Ho 0.000 0.000 0.000 1
Mn1 Mn 0.000 0.264 0.500 1
Mn2 Mn 0.250 0.250 0.250 1
Al1 Al 0.000 0.000 0.346 1
Al2 Al 0.000 0.339 0.000 1
Al3 Al 0.000 0.500 0.303 1
```